No. 1
Diffraction record for Na4TiP2O9. The PXRD pattern is simulated, not measured: it uses a cell relaxed with GGA-PBE and Cu Kα (weighted mean of Kα1 and Kα2).

The 10 most intense peaks (2θ from 10° to 80°), in order of rising 2θ:
- 11.19 deg, rel. 71
- 11.62 deg, rel. 73
- 18.00 deg, rel. 40
- 25.38 deg, rel. 41
- 25.97 deg, rel. 38
- 32.65 deg, rel. 100
- 33.99 deg, rel. 67
- 34.59 deg, rel. 74
- 58.72 deg, rel. 41
- 59.92 deg, rel. 42

Cell lengths 7.082, 15.815, 7.615 Å; angles 90.00, 90.00, 90.00 degrees
Space group Cmme (No. 67)
One atom of each set of equivalent atoms:
Na  0.000  0.114  0.236 [8 per cell]
Na  0.250  0.000  0.500 [4 per cell]
Na  0.250  0.250  0.000 [4 per cell]
Ti  0.250  0.250  0.500 [4 per cell]
P  0.000  0.120  0.759 [8 per cell]
O  0.000  0.026  0.710 [8 per cell]
O  0.000  0.145  0.953 [8 per cell]
O  0.000  0.250  0.407 [4 per cell]
O  0.183  0.160  0.673 [16 per cell]

---

No. 2
Diffraction record for NaTi2P4O14. The PXRD pattern is simulated, not measured: it uses a cell relaxed with GGA-PBE and Cu Kα (weighted mean of Kα1 and Kα2).

The 10 most intense peaks (2θ from 10° to 80°), in order of rising 2θ:
- 16.72 deg, rel. 100
- 17.29 deg, rel. 35
- 22.50 deg, rel. 41
- 23.08 deg, rel. 69
- 25.22 deg, rel. 34
- 25.73 deg, rel. 30
- 27.29 deg, rel. 35
- 28.76 deg, rel. 63
- 28.99 deg, rel. 97
- 30.42 deg, rel. 40

Cell lengths 4.914, 7.087, 8.112 Å; angles 90.84, 93.80, 105.73 degrees
Space group P1 (No. 1)
One atom of each set of equivalent atoms:
Na  0.000  0.000  0.000 [1 per cell]
Ti  0.065  0.007  0.492 [1 per cell]
Ti  0.562  0.504  0.991 [1 per cell]
P  0.054  0.382  0.235 [1 per cell]
P  0.075  0.633  0.747 [1 per cell]
P  0.443  0.772  0.293 [1 per cell]
P  0.687  0.244  0.689 [1 per cell]
O  0.154  0.808  0.638 [1 per cell]
O  0.207  0.338  0.086 [1 per cell]
O  0.244  0.905  0.300 [1 per cell]
O  0.271  0.555  0.347 [1 per cell]
O  0.333  0.562  0.801 [1 per cell]
O  0.432  0.188  0.563 [1 per cell]
O  0.529  0.753  0.115 [1 per cell]
O  0.606  0.263  0.868 [1 per cell]
O  0.697  0.828  0.420 [1 per cell]
O  0.796  0.453  0.182 [1 per cell]
O  0.859  0.460  0.635 [1 per cell]
O  0.883  0.109  0.683 [1 per cell]
O  0.918  0.675  0.896 [1 per cell]
O  0.974  0.205  0.343 [1 per cell]

---

No. 3
Diffraction record for NaTiPO5. The PXRD pattern is simulated, not measured: it uses a cell relaxed with GGA-PBE and Cu Kα (weighted mean of Kα1 and Kα2).

The 10 most intense peaks (2θ from 10° to 80°), in order of rising 2θ:
- 17.89 deg, rel. 41
- 18.30 deg, rel. 21
- 26.99 deg, rel. 100
- 29.40 deg, rel. 75
- 34.62 deg, rel. 93
- 39.75 deg, rel. 19
- 51.00 deg, rel. 20
- 53.73 deg, rel. 20
- 55.60 deg, rel. 25
- 61.49 deg, rel. 16

Cell lengths 6.726, 8.583, 7.210 Å; angles 90.00, 115.39, 90.00 degrees
Space group P2_1/c (No. 14)
One atom of each set of equivalent atoms:
Na  0.250  0.079  0.228 [4 per cell]
Ti  0.251  0.743  0.983 [4 per cell]
P  0.250  0.071  0.749 [4 per cell]
O  0.063  0.178  0.601 [4 per cell]
O  0.163  0.533  0.377 [4 per cell]
O  0.252  0.682  0.752 [4 per cell]
O  0.341  0.531  0.125 [4 per cell]
O  0.430  0.182  0.896 [4 per cell]